Computed X-ray diffraction stick pattern
Compound: SrU2Se5
Radiation: λ = 1.5418 Å (Cu Kα)
Structure: a structure optimized by DFT (PBE)
Intensities are scaled so that the largest is 100.

Principal peaks in the range 2θ = 15–90°, sorted by position:
2theta	I (rel.)
22.88	34
23.77	50
25.76	40
31.70	33
32.36	79
34.73	100
40.74	36
43.21	44
44.09	31
46.58	37

Structural model:
```
SrU2Se5
1.0
12.8114 0.0000 0.0000
0.0000 8.2160 0.0000
0.0000 0.0000 7.7721
Sr U Se
4 8 20
Cartesian
0.0764 2.0540 0.6444
6.3292 6.1620 4.5304
6.4821 2.0540 3.2416
12.7349 6.1620 7.1277
2.3354 0.0000 3.9320
2.3354 4.1080 3.9320
4.0703 0.0000 0.0460
4.0703 4.1080 0.0460
8.7411 0.0000 7.7261
8.7411 4.1080 7.7261
10.4760 0.0000 3.8401
10.4760 4.1080 3.8401
0.0233 2.0540 3.7410
1.5363 4.5084 1.2827
1.5363 7.8156 1.2827
2.3501 2.0540 6.3605
2.7946 6.1620 6.1148
3.6111 2.0540 2.2287
4.0556 6.1620 2.4745
4.8693 0.4004 5.1687
4.8693 3.7076 5.1687
6.3824 6.1620 7.6271
6.4290 2.0540 0.1450
7.9420 4.5084 2.6033
7.9420 7.8156 2.6033
8.7557 2.0540 5.2976
9.2003 6.1620 5.5433
10.0168 2.0540 1.6573
10.4613 6.1620 1.4116
11.2750 0.4004 6.4894
11.2750 3.7076 6.4894
12.7881 6.1620 4.0310
```


Computed X-ray diffraction stick pattern
Compound: Sr4Zn3Se
Radiation: λ = 1.5418 Å (Cu Kα)
Structure: a structure optimized by DFT (PBE)
Intensities are scaled so that the largest is 100.

Principal peaks in the range 2θ = 15–90°, sorted by position:
2theta	I (rel.)
27.68	100
39.55	76
48.96	27
57.04	4
57.23	8
64.58	11
64.73	23
71.66	8
71.79	17
85.11	5

Structural model:
```
Sr4Zn3Se
1.0
4.5537 0.0000 0.0000
0.0000 4.5517 0.0000
-0.0147 0.0000 12.9164
Sr Zn Se
4 3 1
Cartesian
0.0000 0.0000 0.0000
0.0117 0.0000 6.2497
2.2736 2.2758 3.1274
2.2875 2.2758 9.5861
0.0092 0.0000 9.5838
2.2619 2.2758 12.7379
2.2891 2.2758 6.4313
-0.0031 0.0000 3.1263
```


Computed X-ray diffraction stick pattern
Compound: Ta2Se5
Radiation: λ = 1.5418 Å (Cu Kα)
Structure: a structure optimized by DFT (PBE)
Intensities are scaled so that the largest is 100.

Principal peaks in the range 2θ = 15–90°, sorted by position:
2theta	I (rel.)
18.91	100
23.29	31
23.58	27
31.43	33
31.90	33
32.33	31
41.81	30
42.01	34
42.68	39
48.59	43

Structural model:
```
Ta2Se5
1.0
7.8673 -3.2759 0.0000
7.8673 3.2759 0.0000
-1.6427 0.0000 6.6631
Ta Se
4 10
Cartesian
4.4618 1.7902 4.4788
8.8087 1.7902 5.5158
5.2832 -1.7902 1.1472
9.6300 -1.7902 2.1843
0.0238 0.5721 6.4152
0.8452 -0.5721 3.0836
4.2030 0.6185 2.2511
3.3817 -0.6185 5.5826
6.6353 0.5905 4.9973
7.4566 -0.5905 1.6658
10.7102 0.6185 1.0805
9.8888 -0.6185 4.4120
13.2467 0.5721 3.5794
14.0680 -0.5721 0.2479
```


Computed X-ray diffraction stick pattern
Compound: TaSe2
Radiation: λ = 1.5418 Å (Cu Kα)
Structure: a structure optimized by DFT (PBE)
Intensities are scaled so that the largest is 100.

Principal peaks in the range 2θ = 15–90°, sorted by position:
2theta	I (rel.)
29.97	69
30.76	29
31.85	57
33.48	37
35.32	96
37.61	53
40.04	100
42.82	38
45.71	64
53.01	54

Structural model:
```
TaSe2
1.0
0.0000 11.9026 2.9972
1.7363 0.0000 2.9972
1.7363 11.9026 0.0000
Ta Se
1 2
Cartesian
0.0000 0.0000 0.0000
1.7363 10.2234 2.0016
1.7363 13.5817 2.0016
```